[1]
ZnIn2I4: theoretical powder diffraction line list (copper Kα), based on a cell relaxed with PBE.

```
data_ZnIn2I4
_chemical_formula_sum 'Zn2 In4 I8'
_symmetry_space_group_name_H-M 'P 1 21 1'
_symmetry_Int_Tables_number 4
_symmetry_space_group_name_Hall 'P 2yb'
_cell_length_a 7.8664
_cell_length_b 8.1834
_cell_length_c 9.4661
_cell_angle_alpha 90.00
_cell_angle_beta 107.89
_cell_angle_gamma 90.00
loop_
_atom_site_label
_atom_site_fract_x
_atom_site_fract_y
_atom_site_fract_z
Zn1 0.2179 0.0000 0.2988
In1 0.2331 0.4539 0.5542
In2 0.2493 0.4359 0.0658
I1 0.0235 0.7312 0.2452
I2 0.0261 0.7364 0.7706
I3 0.4089 0.0362 0.5797
I4 0.4213 0.0300 0.1239
```

The 10 most intense peaks (2θ = 15–90°), low angle first:
2θ (°), d [Å], I (rel.), (hkl)
24.80, 3.590, 86, 1 2 0
25.86, 3.446, 62, 2 0 -2
26.03, 3.423, 62, 1 0 2
28.10, 3.176, 62, 2 1 -2
28.26, 3.158, 55, 1 1 2
29.47, 3.031, 100, 1 2 -2
32.42, 2.762, 48, 2 2 0
37.69, 2.387, 28, 3 1 0
38.02, 2.366, 46, 1 0 -4
41.90, 2.156, 26, 3 2 -2

[2]
CsSm2CuSe3S: theoretical powder diffraction line list (copper Kα), based on a cell relaxed with PBE.

```
data_CsSm2CuSe3S
_chemical_formula_sum 'Cs4 Sm8 Cu4 Se12 S4'
_symmetry_space_group_name_H-M 'C m c m'
_symmetry_Int_Tables_number 63
_symmetry_space_group_name_Hall '-C 2c 2'
_cell_length_a 4.1715
_cell_length_b 14.6397
_cell_length_c 14.6396
_cell_angle_alpha 90.00
_cell_angle_beta 90.00
_cell_angle_gamma 90.00
loop_
_atom_site_label
_atom_site_fract_x
_atom_site_fract_y
_atom_site_fract_z
Cs1 0.0000 0.1089 0.2500
Sm1 0.0000 0.3708 0.0600
Cu1 0.0000 0.1663 0.7500
Se1 0.0000 0.2578 0.6077
Se2 0.0000 0.4237 0.2500
S1 0.0000 0.0000 0.0000
```

The 10 most intense peaks (2θ = 15–90°), low angle first:
2θ (°), d [Å], I (rel.), (hkl)
21.89, 4.060, 49, 0 2 3
24.32, 3.660, 34, 0 4 0
25.32, 3.518, 34, 1 1 2
28.81, 3.099, 100, 1 3 1
30.73, 2.910, 76, 1 3 2
36.84, 2.440, 30, 0 0 6
38.05, 2.365, 37, 1 1 5
41.37, 2.182, 27, 0 6 3
42.00, 2.151, 81, 1 5 3
43.39, 2.086, 39, 2 0 0

[3]
Lu4GeAsN2: theoretical powder diffraction line list (copper Kα), based on a cell relaxed with PBE.

```
data_Lu4GeAsN2
_chemical_formula_sum 'Lu4 Ge1 As1 N2'
_symmetry_space_group_name_H-M 'P -6 m 2'
_symmetry_Int_Tables_number 187
_symmetry_space_group_name_Hall 'P -6 2'
_cell_length_a 3.4777
_cell_length_b 3.4777
_cell_length_c 13.4084
_cell_angle_alpha 90.00
_cell_angle_beta 90.00
_cell_angle_gamma 120.00
loop_
_atom_site_label
_atom_site_fract_x
_atom_site_fract_y
_atom_site_fract_z
Lu1 0.0000 0.0000 0.1476
Lu2 0.6667 0.3333 0.3407
Ge1 0.0000 0.0000 0.5000
As1 0.6667 0.3333 0.0000
N1 0.3333 0.6667 0.2444
```

The 10 most intense peaks (2θ = 15–90°), low angle first:
2θ (°), d [Å], I (rel.), (hkl)
29.66, 3.012, 26, 1 0 0
30.42, 2.939, 13, 1 0 1
35.96, 2.498, 100, 1 0 3
40.36, 2.235, 13, 0 0 6
50.88, 1.795, 12, 1 0 6
52.64, 1.739, 25, 1 1 0
65.40, 1.427, 18, 2 0 3
68.35, 1.372, 18, 1 1 6
70.52, 1.335, 9, 1 0 9
88.67, 1.103, 16, 2 1 3

[4]
SrTl3Au3: theoretical powder diffraction line list (copper Kα), based on a cell relaxed with PBE.

```
data_SrTl3Au3
_chemical_formula_sum 'Sr2 Tl6 Au6'
_symmetry_space_group_name_H-M 'P m m n'
_symmetry_Int_Tables_number 59
_cell_length_a 4.6448
_cell_length_b 8.1334
_cell_length_c 9.5773
_cell_angle_alpha 90.00
_cell_angle_beta 90.00
_cell_angle_gamma 90.00
loop_
_symmetry_equiv_pos_as_xyz
'x,y,z'
'-x,-y,-z'
'-x+1/2,-y+1/2,z'
'x+1/2,y+1/2,-z'
'x+1/2,-y,-z'
'-x+1/2,y,z'
'-x,y+1/2,-z'
'x,-y+1/2,z'
loop_
_atom_site_label
_atom_site_fract_x
_atom_site_fract_y
_atom_site_fract_z
Sr1 0.2500 0.2500 0.2175
Tl1 0.2500 0.0476 0.6214
Tl2 0.2500 0.7500 0.1411
Au1 0.2500 0.0062 0.9139
Au2 0.2500 0.7500 0.4607
```

The 10 most intense peaks (2θ = 15–90°), low angle first:
2θ (°), d [Å], I (rel.), (hkl)
30.07, 2.972, 16, 0 1 3
30.68, 2.915, 100, 1 2 1
34.08, 2.631, 22, 1 0 3
35.76, 2.511, 21, 0 2 3
35.87, 2.503, 16, 1 1 3
38.45, 2.341, 24, 1 3 0
38.77, 2.322, 43, 2 0 0
40.85, 2.209, 57, 1 2 3
44.56, 2.033, 18, 0 4 0
60.52, 1.530, 16, 2 4 0